1.
Starting from the PBE geometry in Alexandria, the powder X-ray diffraction pattern of HoTm3Co was computed for Cu Kα.

Principal peaks in the range 2θ from 10° to 90°, by angle:
d = 5.196 Å, I 4; d = 3.674 Å, I 2; d = 3.000 Å, I 100; d = 2.598 Å, I 74; d = 1.837 Å, I 53; d = 1.567 Å, I 45; d = 1.500 Å, I 18; d = 1.299 Å, I 8; d = 1.192 Å, I 19; d = 1.162 Å, I 24

```
5
Lattice="5.1958 0.0000 0.0000 0.0000 5.1958 0.0000 0.0000 0.0000 5.1958" Properties=species:S:1:pos:R:3 pbc="T T T"
Ho 0.0000 0.0000 0.0000
Tm 0.0000 2.5979 2.5979
Tm 2.5979 0.0000 2.5979
Tm 2.5979 2.5979 0.0000
Co 2.5979 2.5979 2.5979
```

2.
Starting from the PBE geometry in Alexandria, the powder X-ray diffraction pattern of Sm4Ho3Mg2 was computed for Cu Kα.

Principal peaks in the range 2θ from 10° to 90°, by angle:
d = 7.353 Å, I 9; d = 2.870 Å, I 100; d = 2.503 Å, I 34; d = 2.451 Å, I 16; d = 1.770 Å, I 12; d = 1.751 Å, I 23; d = 1.507 Å, I 29; d = 1.484 Å, I 14; d = 1.435 Å, I 12; d = 1.137 Å, I 12

```
9
Lattice="7.5044 -2.5048 0.0000 7.5044 2.5048 0.0000 -2.5019 0.0000 7.3530" Properties=species:S:1:pos:R:3 pbc="T T T"
Sm -0.0238 0.0000 2.4318
Sm 2.4900 0.0000 4.9419
Sm 10.0169 0.0000 2.4111
Sm 12.5307 0.0000 4.9212
Ho 5.0038 0.0000 2.4345
Ho 7.5044 0.0000 0.0000
Ho 7.5031 0.0000 4.9185
Mg 0.0273 0.0000 7.3436
Mg 12.4796 0.0000 0.0093
```